Structure and computed X-ray diffraction stick pattern of Na2CaPd9 (the PBE geometry in Alexandria; Cu Kα (weighted mean of Kα1 and Kα2)).

Main lines, low angle first (10° ≤ 2θ ≤ 90°):
| d/Å | intensity |
| --- | --- |
| 4.567 | 87 |
| 2.309 | 26 |
| 2.293 | 100 |
| 2.223 | 41 |
| 2.126 | 61 |
| 1.980 | 38 |
| 1.338 | 26 |
| 1.146 | 28 |

Lattice parameters (Å, degrees): 9.4144 9.4144 9.4144 33.03 33.03 33.03
Positions (direct):
1 Na 0.1439 0.1439 0.1439
2 Na 0.8561 0.8561 0.8561
3 Ca 0.0000 0.0000 0.0000
4 Pd 0.0822 0.5856 0.5856
5 Pd 0.3330 0.3330 0.3330
6 Pd 0.4144 0.4144 0.9178
7 Pd 0.4144 0.9178 0.4144
8 Pd 0.5000 0.5000 0.5000
9 Pd 0.5856 0.0822 0.5856
10 Pd 0.5856 0.5856 0.0822
11 Pd 0.6670 0.6670 0.6670
12 Pd 0.9178 0.4144 0.4144

Structure and computed X-ray diffraction stick pattern of Na2Ca2Pd15 (the PBE geometry in Alexandria; Cu Kα (weighted mean of Kα1 and Kα2)).

Main lines, low angle first (10° ≤ 2θ ≤ 90°):
| d/Å | intensity |
| --- | --- |
| 4.636 | 77 |
| 2.318 | 30 |
| 2.305 | 100 |
| 2.268 | 41 |
| 2.064 | 100 |
| 2.038 | 25 |
| 1.338 | 24 |
| 1.153 | 25 |

Lattice parameters (Å, degrees): 7.0168 7.0168 7.0168 82.70 82.70 82.70
Positions (direct):
1 Na 0.0950 0.0950 0.0950
2 Na 0.9050 0.9050 0.9050
3 Ca 0.3505 0.3505 0.3505
4 Ca 0.6495 0.6495 0.6495
5 Pd 0.0000 0.0000 0.5000
6 Pd 0.0000 0.3207 0.6793
7 Pd 0.0000 0.5000 0.0000
8 Pd 0.0000 0.6793 0.3207
9 Pd 0.1659 0.6584 0.6584
10 Pd 0.3207 0.0000 0.6793
11 Pd 0.3207 0.6793 0.0000
12 Pd 0.3416 0.3416 0.8341
13 Pd 0.3416 0.8341 0.3416
14 Pd 0.5000 0.0000 0.0000
15 Pd 0.6584 0.1659 0.6584
16 Pd 0.6584 0.6584 0.1659
17 Pd 0.6793 0.0000 0.3207
18 Pd 0.6793 0.3207 0.0000
19 Pd 0.8341 0.3416 0.3416

Structure and computed X-ray diffraction stick pattern of NaCa4Pm3S8 (the PBE geometry in Alexandria; Cu Kα (weighted mean of Kα1 and Kα2)).

Main lines, low angle first (10° ≤ 2θ ≤ 90°):
| d/Å | intensity |
| --- | --- |
| 6.602 | 38 |
| 3.441 | 26 |
| 3.293 | 23 |
| 2.855 | 100 |
| 2.021 | 35 |
| 2.016 | 35 |
| 1.647 | 18 |
| 1.165 | 17 |

Lattice parameters (Å, degrees): 8.0859 8.0859 8.0859 59.82 59.82 59.82
Positions (direct):
1 Na 0.0000 0.0000 0.0000
2 Ca 0.0000 0.0000 0.5000
3 Ca 0.0000 0.5000 0.0000
4 Ca 0.5000 0.0000 0.0000
5 Ca 0.5000 0.5000 0.5000
6 Pm 0.0000 0.5000 0.5000
7 Pm 0.5000 0.0000 0.5000
8 Pm 0.5000 0.5000 0.0000
9 S 0.2492 0.2492 0.2492
10 S 0.2522 0.2522 0.7471
11 S 0.2522 0.7471 0.2522
12 S 0.2529 0.7478 0.7478
13 S 0.7471 0.2522 0.2522
14 S 0.7478 0.2529 0.7478
15 S 0.7478 0.7478 0.2529
16 S 0.7508 0.7508 0.7508

Structure and computed X-ray diffraction stick pattern of RbNa17Ca (the PBE geometry in Alexandria; Cu Kα (weighted mean of Kα1 and Kα2)).

Main lines, low angle first (10° ≤ 2θ ≤ 90°):
| d/Å | intensity |
| --- | --- |
| 4.303 | 24 |
| 3.570 | 13 |
| 3.400 | 34 |
| 3.155 | 23 |
| 3.040 | 26 |
| 2.993 | 100 |
| 2.944 | 25 |
| 1.789 | 15 |

Lattice parameters (Å, degrees): 9.2763 9.2763 9.2763 78.81 78.81 78.81
Positions (direct):
1 Rb 0.0000 0.0000 0.0000
2 Na 0.0219 0.3406 0.6333
3 Na 0.0219 0.6333 0.3406
4 Na 0.2277 0.6655 0.6655
5 Na 0.2471 0.2471 0.2471
6 Na 0.3134 0.3134 0.8577
7 Na 0.3134 0.8577 0.3134
8 Na 0.3406 0.0219 0.6333
9 Na 0.3406 0.6333 0.0219
10 Na 0.4269 0.4269 0.4269
11 Na 0.5565 0.9381 0.9381
12 Na 0.6333 0.0219 0.3406
13 Na 0.6333 0.3406 0.0219
14 Na 0.6655 0.2277 0.6655
15 Na 0.6655 0.6655 0.2277
16 Na 0.8577 0.3134 0.3134
17 Na 0.9381 0.5565 0.9381
18 Na 0.9381 0.9381 0.5565
19 Ca 0.6471 0.6471 0.6471